# 1
This entry pairs a crystal structure of TmInPd5 with its theoretical powder diffraction line list. Radiation: Cu Kα (λ = 1.5418 Å). Structure: a cell relaxed with GGA-PBE.
Intensities are scaled so that the largest is 100.

Main lines, in order of rising 2θ (10° ≤ 2θ ≤ 90°):
Position (°2θ), d_spacing, intensity, (hkl)
25.3, 3.513, 69, 0 2 0
32.8, 2.730, 71, 1 2 1
37.9, 2.374, 90, 2 1 1
38.9, 2.317, 100, 0 1 3
41.6, 2.169, 52, 2 0 2
49.4, 1.846, 35, 2 2 2

```
data_TmInPd5
_space_group_name_H-M_alt 'I m m 2'
_space_group_IT_number 44
_cell_length_a 5.369
_cell_length_b 7.027
_cell_length_c 7.363
_cell_angle_alpha 90.00
_cell_angle_beta 90.00
_cell_angle_gamma 90.00
loop_
_space_group_symop_operation_xyz
'x,y,z'
'-x,-y,z'
'-x,y,z'
'x,-y,z'
'x+1/2,y+1/2,z+1/2'
'-x+1/2,-y+1/2,z+1/2'
'-x+1/2,y+1/2,z+1/2'
'x+1/2,-y+1/2,z+1/2'
loop_
_atom_site_label
_atom_site_fract_x
_atom_site_fract_y
_atom_site_fract_z
Tm1 0.000 0.000 0.000
In1 0.000 0.500 0.156
Pd1 0.000 0.000 0.653
Pd2 0.000 0.314 0.482
Pd3 0.243 0.500 0.814
```

***

# 2
This entry pairs a crystal structure of Tm11In9Pd4 with its theoretical powder diffraction line list. Radiation: Cu Kα (λ = 1.5418 Å). Structure: a cell relaxed with GGA-PBE.
Intensities are scaled so that the largest is 100.

Main lines, in order of rising 2θ (10° ≤ 2θ ≤ 90°):
Position (°2θ), d_spacing, intensity, (hkl)
32.1, 2.787, 7, 2 4 1
33.3, 2.694, 11, 3 3 1
35.0, 2.566, 100, 0 6 1
37.2, 2.417, 13, 3 5 1
50.4, 1.812, 14, 0 0 2
62.8, 1.480, 14, 4 6 2

```
data_Tm11In9Pd4
_space_group_name_H-M_alt 'C m m m'
_space_group_IT_number 65
_space_group_name_Hall '-C 2 2'
_cell_length_a 14.509
_cell_length_b 21.838
_cell_length_c 3.622
_cell_angle_alpha 90.00
_cell_angle_beta 90.00
_cell_angle_gamma 90.00
loop_
_atom_site_label
_atom_site_fract_x
_atom_site_fract_y
_atom_site_fract_z
Tm1 0.000 0.000 0.000
Tm2 0.000 0.160 0.000
Tm3 0.000 0.372 0.000
Tm4 0.192 0.500 0.000
Tm5 0.243 0.171 0.000
In1 0.000 0.500 0.500
In2 0.106 0.262 0.500
In3 0.143 0.072 0.500
Pd1 0.152 0.399 0.500
```

***

# 3
This entry pairs a crystal structure of Tm2InPd4 with its theoretical powder diffraction line list. Radiation: Cu Kα (λ = 1.5418 Å). Structure: a cell relaxed with GGA-PBE.
Intensities are scaled so that the largest is 100.

Main lines, in order of rising 2θ (10° ≤ 2θ ≤ 90°):
Position (°2θ), d_spacing, intensity, (hkl)
34.1, 2.631, 93, 2 1 -1
34.2, 2.619, 100, -1 1 2
34.7, 2.583, 68, 1 -2 2
35.2, 2.552, 53, -2 2 1
40.4, 2.234, 62, 0 1 2
40.8, 2.209, 55, 0 2 -3

```
data_Tm2InPd4
_space_group_name_H-M_alt 'P 1'
_space_group_IT_number 1
_cell_length_a 7.020
_cell_length_b 7.023
_cell_length_c 7.186
_cell_angle_alpha 109.74
_cell_angle_beta 109.67
_cell_angle_gamma 107.39
loop_
_space_group_symop_operation_xyz
'x,y,z'
loop_
_atom_site_label
_atom_site_fract_x
_atom_site_fract_y
_atom_site_fract_z
Tm1 0.000 0.000 0.000
Tm2 0.009 0.564 0.215
Tm3 0.168 0.406 0.717
Tm4 0.603 0.396 0.500
In1 0.468 0.159 0.942
In2 0.764 0.864 0.442
Pd1 0.069 0.742 0.659
Pd2 0.233 0.037 0.471
Pd3 0.347 0.466 0.160
Pd4 0.356 0.861 0.127
Pd5 0.465 0.752 0.626
Pd6 0.642 0.631 0.971
Pd7 0.754 0.211 0.764
Pd8 0.816 0.152 0.265
```